(1)
Nd2Y8Tm3: simulated X-ray powder pattern (Cu Kα (weighted mean of Kα1 and Kα2)), based on a crystal structure in Alexandria, relaxed with PBE.
Kinematic intensities with the Lorentz-polarization factor, no thermal factor.

Peak list (8 most intense, 2θ = 5–70°, in order of falling intensity)
2θ (°), I/Imax
31.7, 100
29.9, 71
31.5, 71
34.5, 63
31.2, 45
11.4, 37
36.4, 32
62.0, 30

Cell and atoms:
```
data_Nd2Y8Tm3
_chemical_formula_sum 'Nd4 Y16 Tm6'
_cell_length_a 3.525
_cell_length_b 11.723
_cell_length_c 20.705
_cell_angle_alpha 90.00
_cell_angle_beta 90.02
_cell_angle_gamma 90.00
_space_group_name_H-M_alt 'P 1 21/c 1'
_space_group_IT_number 14
_space_group_name_Hall '-P 2ybc'
loop_
_atom_site_label
_atom_site_type_symbol
_atom_site_fract_x
_atom_site_fract_y
_atom_site_fract_z
_atom_site_occupancy
Nd1 Nd 0.001 0.178 0.100 1
Y1 Y 0.000 0.047 0.572 1
Y2 Y 0.000 0.129 0.286 1
Y3 Y 0.499 0.055 0.841 1
Y4 Y 0.500 0.208 0.447 1
Tm1 Tm 0.499 0.645 0.799 1
Tm2 Tm 0.500 0.000 0.000 1
```

***

(2)
NdY6Tm5: simulated X-ray powder pattern (Cu Kα (weighted mean of Kα1 and Kα2)), based on a crystal structure in Alexandria, relaxed with PBE.
Kinematic intensities with the Lorentz-polarization factor, no thermal factor.

Peak list (8 most intense, 2θ = 5–70°, in order of falling intensity)
2θ (°), I/Imax
30.9, 100
35.8, 50
51.5, 35
61.3, 28
61.4, 14
64.3, 12
17.7, 7
25.1, 7

Cell and atoms:
```
data_NdY6Tm5
_chemical_formula_sum 'Nd2 Y12 Tm10'
_cell_length_a 5.010
_cell_length_b 15.061
_cell_length_c 10.030
_cell_angle_alpha 90.00
_cell_angle_beta 90.00
_cell_angle_gamma 90.00
_space_group_name_H-M_alt 'C m m m'
_space_group_IT_number 65
_space_group_name_Hall '-C 2 2'
loop_
_atom_site_label
_atom_site_type_symbol
_atom_site_fract_x
_atom_site_fract_y
_atom_site_fract_z
_atom_site_occupancy
Nd1 Nd 0.000 0.000 0.000 1
Y1 Y 0.000 0.167 0.252 1
Y2 Y 0.000 0.500 0.252 1
Tm1 Tm 0.000 0.000 0.500 1
Tm2 Tm 0.000 0.332 0.000 1
Tm3 Tm 0.000 0.333 0.500 1
```

***

(3)
Nd5YTm4: simulated X-ray powder pattern (Cu Kα (weighted mean of Kα1 and Kα2)), based on a crystal structure in Alexandria, relaxed with PBE.
Kinematic intensities with the Lorentz-polarization factor, no thermal factor.

Peak list (8 most intense, 2θ = 5–70°, in order of falling intensity)
2θ (°), I/Imax
30.5, 100
35.1, 34
60.1, 29
51.0, 24
35.8, 16
61.1, 14
50.5, 12
63.4, 12

Cell and atoms:
```
data_Nd5YTm4
_chemical_formula_sum 'Nd5 Y1 Tm4'
_cell_length_a 3.615
_cell_length_b 3.615
_cell_length_c 25.072
_cell_angle_alpha 90.00
_cell_angle_beta 90.00
_cell_angle_gamma 90.00
_space_group_name_H-M_alt 'P 4/m m m'
_space_group_IT_number 123
_space_group_name_Hall '-P 4 2'
loop_
_atom_site_label
_atom_site_type_symbol
_atom_site_fract_x
_atom_site_fract_y
_atom_site_fract_z
_atom_site_occupancy
Nd1 Nd 0.000 0.000 0.000 1
Nd2 Nd 0.000 0.000 0.199 1
Nd3 Nd 0.000 0.000 0.398 1
Y1 Y 0.500 0.500 0.500 1
Tm1 Tm 0.500 0.500 0.099 1
Tm2 Tm 0.500 0.500 0.298 1
```

***

(4)
Nd12Y5Tm: simulated X-ray powder pattern (Cu Kα (weighted mean of Kα1 and Kα2)), based on a crystal structure in Alexandria, relaxed with PBE.
Kinematic intensities with the Lorentz-polarization factor, no thermal factor.

Peak list (8 most intense, 2θ = 5–70°, in order of falling intensity)
2θ (°), I/Imax
30.0, 100
34.8, 34
59.4, 29
50.0, 18
50.1, 18
34.9, 17
59.7, 14
62.4, 12

Cell and atoms:
```
data_Nd12Y5Tm
_chemical_formula_sum 'Nd12 Y5 Tm1'
_cell_length_a 10.911
_cell_length_b 5.160
_cell_length_c 10.927
_cell_angle_alpha 90.00
_cell_angle_beta 90.27
_cell_angle_gamma 90.00
_space_group_name_H-M_alt 'P 1 2/m 1'
_space_group_IT_number 10
_space_group_name_Hall '-P 2y'
loop_
_atom_site_label
_atom_site_type_symbol
_atom_site_fract_x
_atom_site_fract_y
_atom_site_fract_z
_atom_site_occupancy
Nd1 Nd 0.001 0.000 0.167 1
Nd2 Nd 0.166 0.500 0.666 1
Nd3 Nd 0.168 0.500 0.001 1
Nd4 Nd 0.333 0.000 0.500 1
Nd5 Nd 0.335 0.000 0.835 1
Nd6 Nd 0.499 0.500 0.332 1
Y1 Y 0.000 0.000 0.500 1
Y2 Y 0.167 0.500 0.333 1
Y3 Y 0.334 0.000 0.166 1
Tm1 Tm 0.500 0.500 0.000 1
```

***

(5)
Nd2Y6Tm: simulated X-ray powder pattern (Cu Kα (weighted mean of Kα1 and Kα2)), based on a crystal structure in Alexandria, relaxed with PBE.
Kinematic intensities with the Lorentz-polarization factor, no thermal factor.

Peak list (8 most intense, 2θ = 5–70°, in order of falling intensity)
2θ (°), I/Imax
31.6, 100
31.4, 69
31.1, 32
44.9, 25
55.6, 24
62.7, 18
56.3, 14
56.0, 14

Cell and atoms:
```
data_Nd2Y6Tm
_chemical_formula_sum 'Nd8 Y24 Tm4'
_cell_length_a 9.772
_cell_length_b 17.256
_cell_length_c 6.949
_cell_angle_alpha 90.00
_cell_angle_beta 90.00
_cell_angle_gamma 90.00
_space_group_name_H-M_alt 'I b a m'
_space_group_IT_number 72
_space_group_name_Hall '-I 2 2c'
loop_
_atom_site_label
_atom_site_type_symbol
_atom_site_fract_x
_atom_site_fract_y
_atom_site_fract_z
_atom_site_occupancy
Nd1 Nd 0.000 0.167 0.250 1
Y1 Y 0.164 0.326 0.000 1
Y2 Y 0.169 0.010 0.500 1
Y3 Y 0.169 0.344 0.500 1
Tm1 Tm 0.000 0.500 0.250 1
```

***

(6)
Nd6Y16Tm7: simulated X-ray powder pattern (Cu Kα (weighted mean of Kα1 and Kα2)), based on a crystal structure in Alexandria, relaxed with PBE.
Kinematic intensities with the Lorentz-polarization factor, no thermal factor.

Peak list (8 most intense, 2θ = 5–70°, in order of falling intensity)
2θ (°), I/Imax
32.0, 100
56.9, 22
29.3, 22
45.8, 13
43.9, 12
27.6, 11
60.4, 10
37.7, 6

Cell and atoms:
```
data_Nd6Y16Tm7
_chemical_formula_sum 'Nd24 Y64 Tm28'
_cell_length_a 15.845
_cell_length_b 15.845
_cell_length_c 15.845
_cell_angle_alpha 90.00
_cell_angle_beta 90.00
_cell_angle_gamma 90.00
_space_group_name_H-M_alt 'F m -3 m'
_space_group_IT_number 225
_space_group_name_Hall '-F 4 2 3'
loop_
_atom_site_label
_atom_site_type_symbol
_atom_site_fract_x
_atom_site_fract_y
_atom_site_fract_z
_atom_site_occupancy
Nd1 Nd 0.000 0.000 0.216 1
Y1 Y 0.121 0.121 0.379 1
Y2 Y 0.155 0.155 0.155 1
Tm1 Tm 0.000 0.000 0.500 1
Tm2 Tm 0.000 0.250 0.250 1
```